Entry 1:
This entry pairs a crystal structure of Al5Ga with its simulated X-ray powder pattern. Radiation: Cu Kα X-rays. Structure: DFT lattice parameters and positions (PBE).
Intensities are scaled so that the largest is 100.

Structure:
```
Al5Ga
1.0
4.072 0.000 0.000
0.000 11.941 0.000
0.000 0.000 4.125
Al Ga
10 2
Direct
0.000 0.000 0.000
0.000 0.168 0.500
0.000 0.332 0.000
0.000 0.668 0.000
0.000 0.832 0.500
0.500 0.168 0.000
0.500 0.332 0.500
0.500 0.500 0.000
0.500 0.668 0.500
0.500 0.832 0.000
0.000 0.500 0.500
0.500 0.000 0.500
```

Top 12 peaks for 2θ = 10–90°, in order of rising 2θ:
Position (°2θ)	d_spacing	Rel. int.
14.84	5.971	11
38.42	2.343	100
43.90	2.062	19
44.50	2.036	16
45.58	1.990	15
64.29	1.449	11
65.14	1.432	10
65.60	1.423	10
77.02	1.238	12
77.88	1.227	12
79.44	1.206	11
82.31	1.171	10

Entry 2:
This entry pairs a crystal structure of AlGa with its simulated X-ray powder pattern. Radiation: Cu Kα X-rays. Structure: DFT lattice parameters and positions (PBE).
Intensities are scaled so that the largest is 100.

Structure:
```
AlGa
1.0
5.911 0.000 0.000
0.000 5.911 0.000
0.000 0.000 5.911
Al Ga
4 4
Direct
0.000 0.000 0.000
0.000 0.500 0.500
0.500 0.000 0.500
0.500 0.500 0.000
0.250 0.250 0.750
0.250 0.750 0.250
0.750 0.250 0.250
0.750 0.750 0.750
```

Top 10 peaks for 2θ = 10–90°, in order of rising 2θ:
Position (°2θ)	d_spacing	Rel. int.
26.11	3.413	100
30.24	2.955	18
43.30	2.090	62
51.26	1.782	45
53.72	1.706	5
62.89	1.478	10
69.29	1.356	18
71.36	1.322	6
79.43	1.207	20
85.33	1.138	13

Entry 3:
This entry pairs a crystal structure of Al7Ga5 with its simulated X-ray powder pattern. Radiation: Cu Kα X-rays. Structure: DFT lattice parameters and positions (PBE).
Intensities are scaled so that the largest is 100.

Structure:
```
Al7Ga5
1.0
7.712 -1.403 0.000
7.712 1.403 0.000
-4.677 0.000 9.656
Al Ga
7 5
Direct
0.000 0.000 0.000
0.137 0.137 0.744
0.166 0.166 0.493
0.472 0.472 0.750
0.528 0.528 0.250
0.834 0.834 0.507
0.863 0.863 0.256
0.198 0.198 0.250
0.337 0.337 0.008
0.500 0.500 0.500
0.663 0.663 0.992
0.802 0.802 0.750
```

Top 12 peaks for 2θ = 10–90°, in order of rising 2θ:
Position (°2θ)	d_spacing	Rel. int.
18.72	4.741	33
23.15	3.842	39
35.75	2.512	28
37.25	2.414	100
37.92	2.373	44
38.93	2.314	48
40.58	2.223	44
40.75	2.214	98
41.56	2.173	89
45.89	1.978	24
63.68	1.461	40
74.51	1.273	24

Entry 4:
This entry pairs a crystal structure of GdScAlGa with its simulated X-ray powder pattern. Radiation: Cu Kα X-rays. Structure: DFT lattice parameters and positions (PBE).
Intensities are scaled so that the largest is 100.

Structure:
```
GdScAlGa
1.0
7.003 0.000 0.000
0.000 7.003 0.000
0.000 0.000 7.003
Gd Sc Al Ga
4 4 4 4
Direct
0.000 0.000 0.000
0.000 0.500 0.500
0.500 0.000 0.500
0.500 0.500 0.000
0.000 0.000 0.500
0.000 0.500 0.000
0.500 0.000 0.000
0.500 0.500 0.500
0.250 0.250 0.250
0.250 0.750 0.750
0.750 0.250 0.750
0.750 0.750 0.250
0.250 0.250 0.750
0.250 0.750 0.250
0.750 0.250 0.250
0.750 0.750 0.750
```

Top 12 peaks for 2θ = 10–90°, in order of rising 2θ:
Position (°2θ)	d_spacing	Rel. int.
21.98	4.043	37
25.44	3.502	14
36.28	2.476	100
42.83	2.112	20
52.25	1.751	17
57.35	1.607	9
58.98	1.566	5
65.27	1.430	35
69.78	1.348	7
77.03	1.238	11
81.27	1.184	7
88.25	1.107	15

Entry 5:
This entry pairs a crystal structure of MgAlGaGe with its simulated X-ray powder pattern. Radiation: Cu Kα X-rays. Structure: DFT lattice parameters and positions (PBE).
Intensities are scaled so that the largest is 100.

Structure:
```
MgAlGaGe
1.0
3.893 0.000 0.000
-1.888 4.591 0.000
-1.872 -0.859 4.518
Mg Al Ga Ge
1 1 1 1
Direct
0.000 0.000 0.000
0.531 0.663 0.374
0.161 0.538 0.773
0.361 0.115 0.587
```

Top 12 peaks for 2θ = 10–90°, in order of rising 2θ:
Position (°2θ)	d_spacing	Rel. int.
19.65	4.518	100
27.22	3.276	56
27.81	3.209	59
37.46	2.401	66
37.83	2.378	63
39.98	2.255	38
40.15	2.246	66
41.01	2.201	60
41.22	2.190	54
44.92	2.018	44
46.68	1.946	38
48.35	1.883	42

Entry 6:
This entry pairs a crystal structure of MgAlGaGe with its simulated X-ray powder pattern. Radiation: Cu Kα X-rays. Structure: DFT lattice parameters and positions (PBE).
Intensities are scaled so that the largest is 100.

Structure:
```
MgAlGaGe
1.0
3.038 0.000 0.000
0.000 3.914 0.000
0.000 0.000 6.253
Mg Al Ga Ge
1 1 1 1
Direct
0.000 0.000 0.000
0.000 0.000 0.503
0.500 0.500 0.268
0.500 0.500 0.729
```

Top 12 peaks for 2θ = 10–90°, in order of rising 2θ:
Position (°2θ)	d_spacing	Rel. int.
22.72	3.914	40
28.55	3.127	21
29.40	3.038	21
36.79	2.443	100
37.47	2.400	99
41.44	2.179	71
46.40	1.957	27
47.77	1.904	21
63.94	1.456	38
72.11	1.310	23
73.39	1.290	27
79.99	1.199	20